The following is a computed X-ray diffraction stick pattern of TaMoS4. It was derived from a cell relaxed with PBE, using a wavelength of 1.5418 Å.
Lines closer than 0.1° are merged.

Structure:
```
data_TaMoS4
_chemical_formula_sum 'Ta1 Mo1 S4'
_symmetry_space_group_name_H-M 'P 1 m 1'
_symmetry_Int_Tables_number 6
_cell_length_a 5.686
_cell_length_b 3.280
_cell_length_c 6.578
_cell_angle_alpha 90.00
_cell_angle_beta 106.82
_cell_angle_gamma 90.00
loop_
_symmetry_equiv_pos_as_xyz
'x,y,z'
'x,-y,z'
loop_
_atom_site_label
_atom_site_fract_x
_atom_site_fract_y
_atom_site_fract_z
Ta1 0.000 0.000 0.000
Mo1 0.505 0.500 0.000
S1 0.259 0.000 0.756
S2 0.422 0.000 0.244
S3 0.750 0.500 0.752
S4 0.916 0.500 0.249
```

Most intense lines, 2θ = 10–80°, most intense first:
2θ (°), I/Imax
14.1, 100
39.7, 36
36.9, 36
31.8, 31
32.9, 31
46.4, 23